No. 1
Diffraction record for NaGa3I. The PXRD pattern is computed, not measured: it uses a crystal structure in Alexandria, relaxed with PBE and Cu Kα (weighted mean of Kα1 and Kα2).

Atomic structure:
```
data_NaGa3I
_chemical_formula_sum 'Na1 Ga3 I1'
_space_group_name_H-M_alt 'P m -3 m'
_space_group_IT_number 221
_space_group_name_Hall '-P 4 2 3'
_cell_length_a 5.481
_cell_length_b 5.481
_cell_length_c 5.481
_cell_angle_alpha 90.00
_cell_angle_beta 90.00
_cell_angle_gamma 90.00
loop_
_atom_site_label
_atom_site_fract_x
_atom_site_fract_y
_atom_site_fract_z
Na1 0.000 0.000 0.000
Ga1 0.000 0.000 0.500
I1 0.500 0.500 0.500
```

Largest 8 diffraction maxima, sorted by position, 2θ = 10–90°:
| Position (°2θ) | I_rel |
| --- | --- |
| 28.2 | 100 |
| 32.7 | 68 |
| 46.9 | 48 |
| 55.6 | 44 |
| 58.3 | 16 |
| 75.6 | 17 |
| 78.0 | 21 |
| 87.1 | 16 |

No. 2
Diffraction record for Na2Ga2I7. The PXRD pattern is computed, not measured: it uses a crystal structure in Alexandria, relaxed with PBE and Cu Kα (weighted mean of Kα1 and Kα2).

Atomic structure:
```
data_Na2Ga2I7
_chemical_formula_sum 'Na4 Ga4 I14'
_space_group_name_H-M_alt 'P 1 21/c 1'
_space_group_IT_number 14
_space_group_name_Hall '-P 2ybc'
_cell_length_a 7.283
_cell_length_b 15.911
_cell_length_c 9.044
_cell_angle_alpha 90.00
_cell_angle_beta 101.13
_cell_angle_gamma 90.00
loop_
_atom_site_label
_atom_site_fract_x
_atom_site_fract_y
_atom_site_fract_z
Na1 0.172 0.169 0.351
Ga1 0.327 0.605 0.673
I1 0.060 0.694 0.496
I2 0.170 0.528 0.876
I3 0.424 0.214 0.679
I4 0.500 0.000 0.000
```

Largest 8 diffraction maxima, sorted by position, 2θ = 10–90°:
| Position (°2θ) | I_rel |
| --- | --- |
| 15.0 | 26 |
| 18.2 | 55 |
| 24.2 | 100 |
| 25.6 | 34 |
| 26.7 | 20 |
| 30.7 | 22 |
| 37.9 | 24 |
| 41.7 | 25 |

No. 3
Diffraction record for NaGaPb2I6. The PXRD pattern is computed, not measured: it uses a crystal structure in Alexandria, relaxed with PBE and Cu Kα (weighted mean of Kα1 and Kα2).

Atomic structure:
```
data_NaGaPb2I6
_chemical_formula_sum 'Na3 Ga3 Pb6 I18'
_space_group_name_H-M_alt 'R 3'
_space_group_IT_number 146
_space_group_name_Hall 'R 3'
_cell_length_a 8.1800
_cell_length_b 8.1800
_cell_length_c 22.3811
_cell_angle_alpha 90.00
_cell_angle_beta 90.00
_cell_angle_gamma 120.00
loop_
_atom_site_label
_atom_site_fract_x
_atom_site_fract_y
_atom_site_fract_z
Na1 0.0000 0.0000 0.0000
Ga1 0.0000 0.0000 0.5011
Pb1 0.0000 0.0000 0.1883
Pb2 0.0000 0.0000 0.6883
I1 0.0215 0.3536 0.2633
I2 0.0289 0.6733 0.7619
```

Largest 8 diffraction maxima, sorted by position, 2θ = 10–90°:
| Position (°2θ) | I_rel |
| --- | --- |
| 14.8 | 60 |
| 20.2 | 25 |
| 24.8 | 100 |
| 29.9 | 21 |
| 32.5 | 87 |
| 38.1 | 58 |
| 42.5 | 23 |
| 50.9 | 24 |

No. 4
Diffraction record for NaGaPbI4. The PXRD pattern is computed, not measured: it uses a crystal structure in Alexandria, relaxed with PBE and Cu Kα (weighted mean of Kα1 and Kα2).

Atomic structure:
```
data_NaGaPbI4
_chemical_formula_sum 'Na4 Ga4 Pb4 I16'
_space_group_name_H-M_alt 'I m m a'
_space_group_IT_number 74
_space_group_name_Hall '-I 2b 2'
_cell_length_a 9.507
_cell_length_b 9.660
_cell_length_c 13.619
_cell_angle_alpha 90.00
_cell_angle_beta 90.00
_cell_angle_gamma 90.00
loop_
_atom_site_label
_atom_site_fract_x
_atom_site_fract_y
_atom_site_fract_z
Na1 0.000 0.250 0.138
Ga1 0.250 0.250 0.750
Pb1 0.000 0.000 0.500
I1 0.000 0.013 0.738
I2 0.236 0.250 0.502
```

Largest 8 diffraction maxima, sorted by position, 2θ = 10–90°:
| Position (°2θ) | I_rel |
| --- | --- |
| 11.4 | 62 |
| 21.7 | 39 |
| 26.2 | 50 |
| 26.3 | 100 |
| 37.2 | 22 |
| 37.4 | 87 |
| 37.9 | 21 |
| 67.3 | 21 |